(1)
Calculated X-ray powder pattern of KLi2 for λ = 1.5418 Å (Cu Kα), from a DFT-relaxed cell (PBE, Alexandria).
Kinematic intensities with the Lorentz-polarization factor, no thermal factor.

Structure:
Unit cell a=4.2349 b=4.2526 c=12.6729 alpha=80.58 beta=89.86 gamma=90.00
Positions (direct):
1 K 0.2491 0.1730 0.1540
2 K 0.7509 0.8270 0.8460
3 Li 0.2495 0.9589 0.5873
4 Li 0.2508 0.5423 0.4115
5 Li 0.7492 0.4577 0.5885
6 Li 0.7505 0.0411 0.4127

Most intense lines, 10 to 90 degrees two-theta, low angle first:
2θ = 21.2°, d = 4.192 Å, I 28.6
2θ = 21.3°, d = 4.167 Å, I 58.6
2θ = 22.2°, d = 4.011 Å, I 80.1
2θ = 23.5°, d = 3.788 Å, I 100.0
2θ = 25.4°, d = 3.506 Å, I 72.1
2θ = 28.6°, d = 3.125 Å, I 24.1
2θ = 30.0°, d = 2.979 Å, I 71.5
2θ = 34.8°, d = 2.575 Å, I 50.2
2θ = 42.0°, d = 2.153 Å, I 18.7
2θ = 49.3°, d = 1.848 Å, I 21.8

---

(2)
Calculated X-ray powder pattern of KLi3 for λ = 1.5418 Å (Cu Kα), from a DFT-relaxed cell (PBE, Alexandria).
Kinematic intensities with the Lorentz-polarization factor, no thermal factor.

Structure:
Unit cell a=5.6727 b=5.6727 c=5.6727 alpha=60.00 beta=60.00 gamma=60.00
Positions (direct):
1 K 0.0000 0.0000 0.0000
2 Li 0.2500 0.2500 0.2500
3 Li 0.5000 0.5000 0.5000
4 Li 0.7500 0.7500 0.7500

Most intense lines, 10 to 90 degrees two-theta, low angle first:
2θ = 19.2°, d = 4.632 Å, I 99.5
2θ = 22.2°, d = 4.011 Å, I 52.4
2θ = 31.5°, d = 2.836 Å, I 100.0
2θ = 37.2°, d = 2.419 Å, I 49.2
2θ = 38.9°, d = 2.316 Å, I 14.2
2θ = 45.2°, d = 2.006 Å, I 16.8
2θ = 49.5°, d = 1.840 Å, I 19.1
2θ = 50.9°, d = 1.794 Å, I 17.4
2θ = 56.2°, d = 1.638 Å, I 33.5
2θ = 59.9°, d = 1.544 Å, I 13.2

---

(3)
Calculated X-ray powder pattern of K8Li for λ = 1.5418 Å (Cu Kα), from a DFT-relaxed cell (PBE, Alexandria).
Kinematic intensities with the Lorentz-polarization factor, no thermal factor.

Structure:
Unit cell a=10.1767 b=10.1767 c=10.1767 alpha=95.53 beta=95.53 gamma=143.83
Positions (direct):
1 K 0.0000 0.3229 0.3229
2 K 0.0000 0.6771 0.6771
3 K 0.3229 0.0000 0.3229
4 K 0.3434 0.3434 0.6867
5 K 0.3434 0.6566 0.0000
6 K 0.6566 0.3434 0.0000
7 K 0.6566 0.6566 0.3133
8 K 0.6771 0.0000 0.6771
9 Li 0.0000 0.0000 0.0000

Most intense lines, 10 to 90 degrees two-theta, low angle first:
2θ = 20.2°, d = 4.395 Å, I 6.0
2θ = 24.1°, d = 3.698 Å, I 100.0
2θ = 27.7°, d = 3.225 Å, I 33.5
2θ = 28.3°, d = 3.159 Å, I 16.7
2θ = 39.5°, d = 2.280 Å, I 11.0
2θ = 40.0°, d = 2.257 Å, I 22.5
2θ = 46.8°, d = 1.941 Å, I 24.8
2θ = 47.6°, d = 1.912 Å, I 13.1
2θ = 49.3°, d = 1.849 Å, I 10.7
2θ = 63.5°, d = 1.465 Å, I 8.9

---

(4)
Calculated X-ray powder pattern of K2Li for λ = 1.5418 Å (Cu Kα), from a DFT-relaxed cell (PBE, Alexandria).
Kinematic intensities with the Lorentz-polarization factor, no thermal factor.

Structure:
Unit cell a=8.9640 b=8.9640 c=8.9640 alpha=90.00 beta=90.00 gamma=90.00
Positions (direct):
1 K 0.1506 0.1506 0.1506
2 K 0.1506 0.3494 0.6506
3 K 0.3494 0.6506 0.1506
4 K 0.3494 0.8494 0.6506
5 K 0.6506 0.1506 0.3494
6 K 0.6506 0.3494 0.8494
7 K 0.8494 0.6506 0.3494
8 K 0.8494 0.8494 0.8494
9 Li 0.0000 0.0000 0.5000
10 Li 0.0000 0.5000 0.0000
11 Li 0.5000 0.0000 0.0000
12 Li 0.5000 0.5000 0.5000

Most intense lines, 10 to 90 degrees two-theta, low angle first:
2θ = 22.2°, d = 4.009 Å, I 100.0
2θ = 24.3°, d = 3.660 Å, I 53.9
2θ = 29.9°, d = 2.988 Å, I 9.0
2θ = 33.1°, d = 2.703 Å, I 17.0
2θ = 37.5°, d = 2.396 Å, I 43.6
2θ = 40.2°, d = 2.241 Å, I 8.4
2θ = 44.0°, d = 2.056 Å, I 10.1
2θ = 46.4°, d = 1.956 Å, I 15.6
2θ = 55.2°, d = 1.665 Å, I 11.0
2θ = 64.0°, d = 1.454 Å, I 11.8

---

(5)
Calculated X-ray powder pattern of KLi2 for λ = 1.5418 Å (Cu Kα), from a DFT-relaxed cell (PBE, Alexandria).
Kinematic intensities with the Lorentz-polarization factor, no thermal factor.

Structure:
Unit cell a=6.6615 b=6.6615 c=6.6615 alpha=60.00 beta=60.00 gamma=60.00
Positions (direct):
1 K 0.1250 0.1250 0.1250
2 K 0.8750 0.8750 0.8750
3 Li 0.0000 0.5000 0.5000
4 Li 0.5000 0.0000 0.5000
5 Li 0.5000 0.5000 0.0000
6 Li 0.5000 0.5000 0.5000

Most intense lines, 10 to 90 degrees two-theta, low angle first:
2θ = 16.3°, d = 5.439 Å, I 75.8
2θ = 26.8°, d = 3.331 Å, I 100.0
2θ = 31.5°, d = 2.840 Å, I 87.7
2θ = 41.8°, d = 2.161 Å, I 17.7
2θ = 47.3°, d = 1.923 Å, I 35.5
2θ = 50.3°, d = 1.813 Å, I 27.3
2θ = 55.2°, d = 1.665 Å, I 17.3
2θ = 62.3°, d = 1.490 Å, I 14.0
2θ = 75.5°, d = 1.259 Å, I 15.0
2θ = 77.9°, d = 1.226 Å, I 14.7

---

(6)
Calculated X-ray powder pattern of KLi3 for λ = 1.5418 Å (Cu Kα), from a DFT-relaxed cell (PBE, Alexandria).
Kinematic intensities with the Lorentz-polarization factor, no thermal factor.

Structure:
Unit cell a=6.1855 b=6.1855 c=3.5286 alpha=90.00 beta=90.00 gamma=110.54
Positions (direct):
1 K 0.0000 0.0000 0.0000
2 Li 0.0000 0.5000 0.5000
3 Li 0.5000 0.0000 0.5000
4 Li 0.5000 0.5000 0.0000

Most intense lines, 10 to 90 degrees two-theta, low angle first:
2θ = 15.3°, d = 5.792 Å, I 100.0
2θ = 17.4°, d = 5.084 Å, I 37.0
2θ = 25.3°, d = 3.526 Å, I 29.7
2θ = 29.2°, d = 3.054 Å, I 20.0
2θ = 29.6°, d = 3.013 Å, I 38.4
2θ = 30.9°, d = 2.897 Å, I 84.5
2θ = 36.0°, d = 2.493 Å, I 26.9
2θ = 39.0°, d = 2.309 Å, I 16.7
2θ = 51.3°, d = 1.780 Å, I 17.8
2θ = 61.6°, d = 1.506 Å, I 19.6

---

(7)
Calculated X-ray powder pattern of K5Li for λ = 1.5418 Å (Cu Kα), from a DFT-relaxed cell (PBE, Alexandria).
Kinematic intensities with the Lorentz-polarization factor, no thermal factor.

Structure:
Unit cell a=8.1112 b=8.1112 c=10.2520 alpha=107.99 beta=107.99 gamma=36.21
Positions (direct):
1 K 0.0000 0.0000 0.0000
2 K 0.0205 0.0205 0.4396
3 K 0.3568 0.3568 0.6418
4 K 0.6912 0.6912 0.8386
5 K 0.7143 0.7143 0.2820
6 Li 0.3553 0.3553 0.1372

Most intense lines, 10 to 90 degrees two-theta, low angle first:
2θ = 19.9°, d = 4.468 Å, I 24.1
2θ = 23.1°, d = 3.849 Å, I 17.9
2θ = 24.8°, d = 3.594 Å, I 99.9
2θ = 25.1°, d = 3.541 Å, I 51.8
2θ = 25.4°, d = 3.513 Å, I 36.9
2θ = 25.5°, d = 3.499 Å, I 100.0
2θ = 26.3°, d = 3.391 Å, I 19.2
2θ = 35.6°, d = 2.521 Å, I 22.1
2θ = 38.6°, d = 2.333 Å, I 19.1
2θ = 44.1°, d = 2.054 Å, I 19.6

---

(8)
Calculated X-ray powder pattern of K2LiMg for λ = 1.5418 Å (Cu Kα), from a DFT-relaxed cell (PBE, Alexandria).
Kinematic intensities with the Lorentz-polarization factor, no thermal factor.

Structure:
Unit cell a=12.1444 b=12.1444 c=12.1444 alpha=19.61 beta=19.61 gamma=19.61
Positions (direct):
1 K 0.0000 0.0000 0.0000
2 K 0.2184 0.2184 0.2184
3 Li 0.7505 0.7505 0.7505
4 Mg 0.4677 0.4677 0.4677

Most intense lines, 10 to 90 degrees two-theta, low angle first:
2θ = 14.9°, d = 5.954 Å, I 13.8
2θ = 22.4°, d = 3.969 Å, I 38.5
2θ = 25.0°, d = 3.563 Å, I 24.5
2θ = 26.8°, d = 3.324 Å, I 100.0
2θ = 27.9°, d = 3.202 Å, I 44.6
2θ = 32.0°, d = 2.794 Å, I 35.7
2θ = 41.4°, d = 2.180 Å, I 20.8
2θ = 43.8°, d = 2.068 Å, I 27.7
2θ = 49.7°, d = 1.834 Å, I 22.0
2θ = 55.2°, d = 1.663 Å, I 14.1

---

(9)
Calculated X-ray powder pattern of KLiMg2 for λ = 1.5418 Å (Cu Kα), from a DFT-relaxed cell (PBE, Alexandria).
Kinematic intensities with the Lorentz-polarization factor, no thermal factor.

Structure:
Unit cell a=5.5368 b=5.5368 c=7.2634 alpha=95.13 beta=95.13 gamma=34.31
Positions (direct):
1 K 0.0000 0.0000 0.0000
2 Li 0.2340 0.2340 0.6728
3 Mg 0.5018 0.5018 0.5068
4 Mg 0.7630 0.7630 0.3328

Most intense lines, 10 to 90 degrees two-theta, low angle first:
2θ = 16.8°, d = 5.267 Å, I 38.1
2θ = 19.9°, d = 4.461 Å, I 20.4
2θ = 21.8°, d = 4.080 Å, I 23.8
2θ = 24.6°, d = 3.616 Å, I 32.0
2θ = 28.6°, d = 3.120 Å, I 70.8
2θ = 30.9°, d = 2.894 Å, I 19.1
2θ = 31.3°, d = 2.859 Å, I 38.6
2θ = 31.5°, d = 2.836 Å, I 100.0
2θ = 34.0°, d = 2.634 Å, I 42.9
2θ = 38.9°, d = 2.315 Å, I 58.7

---

(10)
Calculated X-ray powder pattern of KNaLiMg for λ = 1.5418 Å (Cu Kα), from a DFT-relaxed cell (PBE, Alexandria).
Kinematic intensities with the Lorentz-polarization factor, no thermal factor.

Structure:
Unit cell a=5.7812 b=5.7812 c=5.7812 alpha=60.00 beta=60.00 gamma=60.00
Positions (direct):
1 K 0.0000 0.0000 0.0000
2 Na 0.2500 0.2500 0.2500
3 Li 0.7500 0.7500 0.7500
4 Mg 0.5000 0.5000 0.5000

Most intense lines, 10 to 90 degrees two-theta, low angle first:
2θ = 18.8°, d = 4.720 Å, I 15.4
2θ = 21.7°, d = 4.088 Å, I 19.3
2θ = 30.9°, d = 2.891 Å, I 100.0
2θ = 36.4°, d = 2.465 Å, I 8.0
2θ = 44.3°, d = 2.044 Å, I 17.2
2θ = 49.9°, d = 1.828 Å, I 6.6
2θ = 55.0°, d = 1.669 Å, I 34.3
2θ = 64.5°, d = 1.445 Å, I 10.1
2θ = 73.2°, d = 1.293 Å, I 13.3
2θ = 89.8°, d = 1.093 Å, I 14.7

---

(11)
Calculated X-ray powder pattern of KLiMg6O7 for λ = 1.5418 Å (Cu Kα), from a DFT-relaxed cell (PBE, Alexandria).
Kinematic intensities with the Lorentz-polarization factor, no thermal factor.

Structure:
Unit cell a=4.5781 b=4.5781 c=8.1838 alpha=90.00 beta=90.00 gamma=90.00
Positions (direct):
1 K 0.0000 0.0000 0.0000
2 Li 0.0000 0.0000 0.4905
3 Mg 0.0000 0.5000 0.2207
4 Mg 0.0000 0.5000 0.7176
5 Mg 0.5000 0.0000 0.2207
6 Mg 0.5000 0.0000 0.7176
7 Mg 0.5000 0.5000 0.4700
8 Mg 0.5000 0.5000 0.9655
9 O 0.0000 0.0000 0.7102
10 O 0.0000 0.5000 0.4554
11 O 0.0000 0.5000 0.9807
12 O 0.5000 0.0000 0.4554
13 O 0.5000 0.0000 0.9807
14 O 0.5000 0.5000 0.2184
15 O 0.5000 0.5000 0.7174

Most intense lines, 10 to 90 degrees two-theta, low angle first:
2θ = 10.8°, d = 8.184 Å, I 14.3
2θ = 22.3°, d = 3.995 Å, I 12.3
2θ = 35.4°, d = 2.539 Å, I 19.4
2θ = 39.4°, d = 2.289 Å, I 100.0
2θ = 44.3°, d = 2.046 Å, I 31.7
2θ = 56.9°, d = 1.619 Å, I 29.1
2θ = 60.7°, d = 1.525 Å, I 42.1
2θ = 68.8°, d = 1.365 Å, I 8.4
2θ = 74.8°, d = 1.269 Å, I 20.5
2θ = 84.7°, d = 1.145 Å, I 7.6

---

(12)
Calculated X-ray powder pattern of KLiMg14O15 for λ = 1.5418 Å (Cu Kα), from a DFT-relaxed cell (PBE, Alexandria).
Kinematic intensities with the Lorentz-polarization factor, no thermal factor.

Structure:
Unit cell a=4.4003 b=8.5964 c=8.6394 alpha=90.00 beta=90.00 gamma=90.00
Positions (direct):
1 K 0.0000 0.0000 0.0000
2 Li 0.0000 0.5000 0.0132
3 Mg 0.0000 0.0000 0.4912
4 Mg 0.0000 0.2288 0.7449
5 Mg 0.0000 0.2542 0.2307
6 Mg 0.0000 0.5000 0.4693
7 Mg 0.0000 0.7458 0.2307
8 Mg 0.0000 0.7712 0.7449
9 Mg 0.5000 0.0000 0.2430
10 Mg 0.5000 0.0000 0.7398
11 Mg 0.5000 0.2529 0.4918
12 Mg 0.5000 0.2577 0.9837
13 Mg 0.5000 0.5000 0.2213
14 Mg 0.5000 0.5000 0.7515
15 Mg 0.5000 0.7423 0.9837
16 Mg 0.5000 0.7471 0.4918
17 O 0.0000 0.0000 0.2692
18 O 0.0000 0.0000 0.7166
19 O 0.0000 0.2651 0.5028
20 O 0.0000 0.2812 0.9736
21 O 0.0000 0.5000 0.2436
22 O 0.0000 0.7188 0.9736
23 O 0.0000 0.7349 0.5028
24 O 0.5000 0.0000 0.4933
25 O 0.5000 0.0000 0.9771
26 O 0.5000 0.2521 0.2392
27 O 0.5000 0.2583 0.7371
28 O 0.5000 0.5000 0.5059
29 O 0.5000 0.5000 0.9826
30 O 0.5000 0.7417 0.7371
31 O 0.5000 0.7479 0.2392

Most intense lines, 10 to 90 degrees two-theta, low angle first:
2θ = 10.3°, d = 8.599 Å, I 15.0
2θ = 22.7°, d = 3.918 Å, I 9.0
2θ = 35.8°, d = 2.505 Å, I 35.9
2θ = 41.0°, d = 2.200 Å, I 100.0
2θ = 41.8°, d = 2.160 Å, I 86.7
2θ = 42.0°, d = 2.149 Å, I 86.5
2θ = 60.0°, d = 1.541 Å, I 50.9
2θ = 60.2°, d = 1.537 Å, I 51.1
2θ = 60.8°, d = 1.523 Å, I 45.6
2θ = 76.0°, d = 1.252 Å, I 42.3

---

Q: What is the formula in the third record?
A: K8Li